[1]
Simulated powder diffractogram
Compound: Er2AlGe4
Radiation: copper Kα
Structure: a structure optimized by DFT (GGA-PBE)
Kinematic intensities with the Lorentz-polarization factor, no thermal factor.

Atomic structure:
a b c (Å): 4.090 4.240 16.663
angles (deg): 90.00 90.00 90.00
Space group Amm2 (No. 38)
Unique sites:
Er: 0.000 0.000 0.000 [2 per cell]
Er: 0.500 0.000 0.201 [2 per cell]
Al: 0.000 0.000 0.778 [2 per cell]
Ge: 0.000 0.000 0.364 [2 per cell]
Ge: 0.000 0.000 0.633 [2 per cell]
Ge: 0.500 0.000 0.539 [2 per cell]
Ge: 0.500 0.000 0.867 [2 per cell]

Largest 12 diffraction maxima, in order of rising 2θ, 5° ≤ 2θ ≤ 70°:
Position (°2θ)  I_rel  index
24.24  16  1 0 2
26.45  10  0 1 3
32.23  15  0 0 6
34.22  20  0 1 5
34.48  100  1 1 3
39.21  14  1 0 6
42.65  19  0 2 0
44.29  17  2 0 0
49.08  9  1 0 8
57.14  9  2 1 5
59.31  8  1 2 6
63.17  12  2 2 0

=====

[2]
Simulated powder diffractogram
Compound: Er3AlGe
Radiation: copper Kα
Structure: a structure optimized by DFT (GGA-PBE)
Kinematic intensities with the Lorentz-polarization factor, no thermal factor.

Atomic structure:
a b c (Å): 16.474 11.095 5.971
angles (deg): 90.00 110.40 90.00
Space group C2/c (No. 15)
Unique sites:
Er: 0.104 0.247 0.252 [8 per cell]
Er: 0.105 0.064 0.777 [8 per cell]
Er: 0.186 0.384 0.796 [8 per cell]
Al: 0.000 0.294 0.750 [4 per cell]
Al: 0.000 0.472 0.250 [4 per cell]
Ge: 0.239 0.121 0.625 [8 per cell]

Largest 12 diffraction maxima, in order of rising 2θ, 5° ≤ 2θ ≤ 70°:
Position (°2θ)  I_rel  index
9.82  40  1 1 0
28.39  90  1 3 -1
30.04  61  5 1 0
30.62  63  1 3 1
30.79  37  3 3 -1
31.99  87  0 0 2
32.31  32  4 0 -2
34.35  37  2 4 0
35.93  45  5 1 -2
36.73  100  3 3 1
37.02  33  5 3 -1
38.76  32  5 1 1

=====

[3]
Simulated powder diffractogram
Compound: Er6Al2Ge7
Radiation: copper Kα
Structure: a structure optimized by DFT (GGA-PBE)
Kinematic intensities with the Lorentz-polarization factor, no thermal factor.

Atomic structure:
a b c (Å): 10.491 4.056 14.887
angles (deg): 90.00 91.08 90.00
Space group C2/m (No. 12)
Unique sites:
Er: 0.038 0.000 0.260 [4 per cell]
Er: 0.146 0.500 0.070 [4 per cell]
Er: 0.174 0.500 0.594 [4 per cell]
Al: 0.159 0.500 0.837 [4 per cell]
Ge: 0.000 0.000 0.500 [2 per cell]
Ge: 0.067 0.000 0.929 [4 per cell]
Ge: 0.112 0.500 0.398 [4 per cell]
Ge: 0.246 0.000 0.741 [4 per cell]

Largest 12 diffraction maxima, in order of rising 2θ, 5° ≤ 2θ ≤ 70°:
Position (°2θ)  I_rel  index
26.35  41  1 1 -2
29.16  15  2 0 -4
33.88  100  1 1 4
34.90  12  2 0 5
36.11  22  4 0 -2
36.21  22  0 0 6
38.32  28  1 1 -5
38.77  21  3 1 3
42.55  15  4 0 4
44.68  22  0 2 0
50.02  16  3 1 -6
58.77  21  0 2 6

=====

[4]
Simulated powder diffractogram
Compound: Li2ErAlGe2
Radiation: copper Kα
Structure: a structure optimized by DFT (GGA-PBE)
Kinematic intensities with the Lorentz-polarization factor, no thermal factor.

Atomic structure:
a b c (Å): 4.146 7.945 7.015
angles (deg): 90.00 90.00 90.00
Space group Pmc2_1 (No. 26)
Unique sites:
Li: 0.000 0.079 0.000 [2 per cell]
Li: 0.500 0.172 0.325 [2 per cell]
Er: 0.500 0.433 0.950 [2 per cell]
Al: 0.000 0.307 0.614 [2 per cell]
Ge: 0.000 0.372 0.239 [2 per cell]
Ge: 0.500 0.142 0.706 [2 per cell]

Largest 12 diffraction maxima, in order of rising 2θ, 5° ≤ 2θ ≤ 70°:
Position (°2θ)  I_rel  index
11.14  100  0 1 0
21.43  17  1 0 0
25.77  30  0 2 1
27.39  33  1 1 1
27.80  20  0 1 2
33.46  17  1 0 2
33.76  29  1 2 1
35.37  68  1 1 2
40.41  15  1 3 0
42.50  22  1 3 1
43.66  18  2 0 0
44.99  15  0 2 3

=====

[5]
Simulated powder diffractogram
Compound: Er5Al3Ni3Ge4
Radiation: copper Kα
Structure: a structure optimized by DFT (GGA-PBE)
Kinematic intensities with the Lorentz-polarization factor, no thermal factor.

Atomic structure:
a b c (Å): 4.183 19.139 6.868
angles (deg): 90.00 90.00 90.00
Space group Pmmn (No. 59, origin choice 2)
Unique sites:
Er: 0.250 0.071 0.000 [4 per cell]
Er: 0.250 0.119 0.495 [4 per cell]
Er: 0.250 0.250 0.112 [2 per cell]
Al: 0.250 0.678 0.184 [4 per cell]
Al: 0.250 0.750 0.528 [2 per cell]
Ni: 0.250 0.250 0.705 [2 per cell]
Ni: 0.250 0.526 0.667 [4 per cell]
Ge: 0.250 0.539 0.298 [4 per cell]
Ge: 0.250 0.646 0.791 [4 per cell]

Largest 12 diffraction maxima, in order of rising 2θ, 5° ≤ 2θ ≤ 70°:
Position (°2θ)  I_rel  index
9.24  23  0 2 0
21.75  35  1 1 0
32.08  18  0 4 2
34.10  47  1 1 2
34.34  100  1 5 1
36.67  98  1 3 2
38.52  20  0 6 2
39.37  44  1 7 0
39.90  18  0 8 1
43.26  49  2 0 0
59.05  17  1 11 1
60.03  19  1 3 4

=====

[6]
Simulated powder diffractogram
Compound: Er4AlHg2
Radiation: copper Kα
Structure: a structure optimized by DFT (GGA-PBE)
Kinematic intensities with the Lorentz-polarization factor, no thermal factor.

Atomic structure:
a b c (Å): 9.076 9.076 9.036
angles (deg): 90.00 90.00 90.00
Space group I-42d (No. 122)
Unique sites:
Er: 0.071 0.180 0.297 [16 per cell]
Al: 0.000 0.000 0.000 [4 per cell]
Hg: 0.118 0.250 0.625 [8 per cell]

Largest 12 diffraction maxima, in order of rising 2θ, 5° ≤ 2θ ≤ 70°:
Position (°2θ)  I_rel  index
13.83  13  1 0 1
24.09  15  1 1 2
31.17  95  3 1 0
31.29  36  1 0 3
37.13  100  2 1 3
44.68  13  4 0 2
47.03  13  3 2 3
49.22  17  4 2 2
51.39  18  4 1 3
63.18  25  6 1 1
63.41  11  1 1 6
66.96  12  5 1 4

=====

[7]
Simulated powder diffractogram
Compound: Er2AlHg2
Radiation: copper Kα
Structure: a structure optimized by DFT (GGA-PBE)
Kinematic intensities with the Lorentz-polarization factor, no thermal factor.

Atomic structure:
a b c (Å): 6.596 12.911 6.061
angles (deg): 90.00 90.00 90.00
Space group Ibam (No. 72)
Unique sites:
Er: 0.200 0.151 0.000 [8 per cell]
Al: 0.000 0.500 0.250 [4 per cell]
Hg: 0.246 0.382 0.000 [8 per cell]

Largest 12 diffraction maxima, in order of rising 2θ, 5° ≤ 2θ ≤ 70°:
Position (°2θ)  I_rel  index
27.04  100  2 0 0
27.64  90  0 4 0
29.48  97  0 0 2
31.65  19  2 1 1
34.29  38  1 4 1
39.05  75  2 4 0
40.42  82  2 0 2
40.85  77  0 4 2
49.67  63  2 4 2
61.06  21  1 8 1
64.28  22  4 0 2
68.10  15  2 0 4

=====

[8]
Simulated powder diffractogram
Compound: Er4Al2Hg
Radiation: copper Kα
Structure: a structure optimized by DFT (GGA-PBE)
Kinematic intensities with the Lorentz-polarization factor, no thermal factor.

Atomic structure:
a b c (Å): 5.0888 5.0888 24.6783
angles (deg): 90.00 90.00 120.00
Space group R-3m (No. 166, hexagonal axes)
Unique sites:
Er: 0.0000 0.0000 0.1187 [6 per cell]
Er: 0.0000 0.0000 0.3710 [6 per cell]
Al: 0.0000 0.0000 0.2494 [6 per cell]
Hg: 0.0000 0.0000 0.5000 [3 per cell]

Largest 12 diffraction maxima, in order of rising 2θ, 5° ≤ 2θ ≤ 70°:
Position (°2θ)  I_rel  index
10.75  15  0 0 3
20.47  16  1 0 1
24.83  47  1 0 4
27.13  17  0 1 5
32.52  14  1 0 7
35.27  100  1 1 0
35.52  93  0 1 8
43.62  11  0 2 4
50.93  34  2 0 8
63.31  19  3 0 0
63.47  35  1 2 8
63.95  15  1 0 16

=====

[9]
Simulated powder diffractogram
Compound: HoEr4Al3
Radiation: copper Kα
Structure: a structure optimized by DFT (GGA-PBE)
Kinematic intensities with the Lorentz-polarization factor, no thermal factor.

Atomic structure:
a b c (Å): 3.333 8.515 14.672
angles (deg): 90.00 90.00 90.00
Space group Immm (No. 71)
Unique sites:
Ho: 0.000 0.000 0.000 [2 per cell]
Er: 0.000 0.303 0.141 [8 per cell]
Al: 0.000 0.000 0.500 [2 per cell]
Al: 0.000 0.500 0.317 [4 per cell]

Largest 12 diffraction maxima, in order of rising 2θ, 5° ≤ 2θ ≤ 70°:
Position (°2θ)  I_rel  index
20.92  46  0 2 0
24.22  46  0 0 4
27.44  61  1 0 1
31.29  22  1 1 2
32.18  100  0 2 4
32.51  22  1 0 3
37.98  29  1 1 4
38.95  72  1 2 3
41.80  34  1 3 0
51.51  25  1 0 7
65.27  29  2 2 4
66.74  23  1 5 4

=====

[10]
Simulated powder diffractogram
Compound: Ho3ErAl3
Radiation: copper Kα
Structure: a structure optimized by DFT (GGA-PBE)
Kinematic intensities with the Lorentz-polarization factor, no thermal factor.

Atomic structure:
a b c (Å): 10.148 10.181 6.895
angles (deg): 90.00 90.00 90.00
Space group Cmmm (No. 65)
Unique sites:
Ho: 0.000 0.244 0.000 [4 per cell]
Ho: 0.241 0.000 0.500 [4 per cell]
Ho: 0.245 0.000 0.000 [4 per cell]
Er: 0.000 0.246 0.500 [4 per cell]
Al: 0.000 0.500 0.253 [4 per cell]
Al: 0.250 0.250 0.251 [8 per cell]

Largest 12 diffraction maxima, in order of rising 2θ, 5° ≤ 2θ ≤ 70°:
Position (°2θ)  I_rel  index
24.78  79  2 2 0
25.84  36  0 0 2
35.26  27  0 4 0
35.38  26  4 0 0
36.10  100  2 2 2
44.28  34  0 4 2
50.81  19  4 4 0
57.87  15  4 4 2
59.47  15  2 2 4
63.83  19  2 6 2
63.99  18  6 2 2
65.42  18  0 4 4

=====

[11]
Simulated powder diffractogram
Compound: Ho3Er2Al3
Radiation: copper Kα
Structure: a structure optimized by DFT (GGA-PBE)
Kinematic intensities with the Lorentz-polarization factor, no thermal factor.

Atomic structure:
a b c (Å): 3.641 5.126 21.412
angles (deg): 90.00 90.00 90.00
Space group Immm (No. 71)
Unique sites:
Ho: 0.000 0.000 0.000 [2 per cell]
Ho: 0.000 0.500 0.121 [4 per cell]
Er: 0.000 0.000 0.231 [4 per cell]
Al: 0.000 0.000 0.500 [2 per cell]
Al: 0.000 0.500 0.383 [4 per cell]

Largest 12 diffraction maxima, in order of rising 2θ, 5° ≤ 2θ ≤ 70°:
Position (°2θ)  I_rel  index
8.26  10  0 0 2
24.81  22  1 0 1
27.13  36  0 1 5
33.48  21  0 0 8
34.55  100  1 1 4
35.01  26  0 2 0
43.39  11  1 2 1
45.55  14  1 0 9
49.22  14  0 2 8
58.71  13  1 2 9
60.54  10  1 1 12
62.53  28  2 2 0

=====

[12]
Simulated powder diffractogram
Compound: HoEr4Al4
Radiation: copper Kα
Structure: a structure optimized by DFT (GGA-PBE)
Kinematic intensities with the Lorentz-polarization factor, no thermal factor.

Atomic structure:
a b c (Å): 8.821 8.821 5.683
angles (deg): 90.00 90.00 90.00
Space group P4_2/n (No. 86, origin choice 2)
Unique sites:
Ho: 0.250 0.250 0.250 [2 per cell]
Er: 0.087 0.824 0.640 [8 per cell]
Al: 0.055 0.154 0.845 [8 per cell]

Largest 12 diffraction maxima, in order of rising 2θ, 5° ≤ 2θ ≤ 70°:
Position (°2θ)  I_rel  index
18.57  60  1 0 1
27.52  73  2 1 1
32.09  100  3 1 0
32.76  41  2 2 1
33.12  82  1 0 2
34.34  83  3 0 1
35.86  45  1 3 1
40.13  71  2 3 1
46.02  28  2 4 0
49.14  26  3 2 2
53.64  53  4 1 2
65.80  27  2 5 2

=====

[13]
Simulated powder diffractogram
Compound: Ho5Er2Al4
Radiation: copper Kα
Structure: a structure optimized by DFT (GGA-PBE)
Kinematic intensities with the Lorentz-polarization factor, no thermal factor.

Atomic structure:
a b c (Å): 3.322 9.860 18.136
angles (deg): 90.00 90.00 90.00
Space group Immm (No. 71)
Unique sites:
Ho: 0.000 0.000 0.000 [2 per cell]
Ho: 0.000 0.165 0.319 [8 per cell]
Er: 0.000 0.500 0.330 [4 per cell]
Al: 0.000 0.209 0.500 [4 per cell]
Al: 0.000 0.500 0.070 [4 per cell]

Largest 12 diffraction maxima, in order of rising 2θ, 5° ≤ 2θ ≤ 70°:
Position (°2θ)  I_rel  index
9.75  68  0 0 2
27.58  39  0 3 1
29.55  53  0 0 6
30.71  100  1 0 3
30.97  50  0 3 3
36.68  23  1 0 5
36.91  49  0 3 5
38.53  39  1 3 0
39.83  50  1 3 2
49.30  24  1 3 6
56.57  34  1 3 8
65.19  26  1 6 3